This entry pairs a crystal structure of Pr5Cl12 with its calculated powder diffractogram. Radiation: Cu Kα (λ = 1.5418 Å). Structure: the GGA-PBE geometry in the Materials Project.

Top 6 peaks for 2θ = 10–80°, most intense first:
d = 4.093 Å, I 1000; d = 2.621 Å, I 986; d = 2.207 Å, I 875; d = 3.412 Å, I 645; d = 2.363 Å, I 626; d = 7.089 Å, I 396

Atomic structure:
```
data_Pr5Cl12
_cell_length_a 8.1854
_cell_length_b 8.1854
_cell_length_c 23.3521
_cell_angle_alpha 90.00
_cell_angle_beta 90.00
_cell_angle_gamma 120.00
_space_group_name_H-M_alt 'P 1'
_space_group_IT_number 1
_space_group_name_Hall 'P 1'
loop_
_atom_site_label
_atom_site_fract_x
_atom_site_fract_y
_atom_site_fract_z
Pr1 0.0000 0.0000 0.0000
Pr2 0.0000 0.0000 0.1485
Pr3 0.0000 0.0000 0.8515
Pr4 0.3333 0.6667 0.1229
Pr5 0.3333 0.6667 0.2874
Pr6 0.3333 0.6667 0.4563
Pr7 0.3333 0.6667 0.6272
Pr8 0.3333 0.6667 0.7950
Pr9 0.3333 0.6667 0.9620
Pr10 0.6667 0.3333 0.0380
Pr11 0.6667 0.3333 0.2050
Pr12 0.6667 0.3333 0.3728
Pr13 0.6667 0.3333 0.5437
Pr14 0.6667 0.3333 0.7126
Pr15 0.6667 0.3333 0.8771
Cl1 0.0747 0.3785 0.0405
Cl2 0.0794 0.3859 0.8777
Cl3 0.0829 0.3698 0.2024
Cl4 0.0888 0.4024 0.7133
Cl5 0.0980 0.4007 0.3717
Cl6 0.1015 0.4046 0.5425
Cl7 0.2869 0.9171 0.2024
Cl8 0.3031 0.8985 0.5425
Cl9 0.3027 0.9020 0.3717
Cl10 0.3038 0.9253 0.0405
Cl11 0.3065 0.9206 0.8777
Cl12 0.3136 0.9112 0.7133
Cl13 0.3698 0.2869 0.7976
Cl14 0.3785 0.3038 0.9595
Cl15 0.3859 0.3065 0.1223
Cl16 0.4007 0.3027 0.6283
Cl17 0.4024 0.3136 0.2867
Cl18 0.4046 0.3031 0.4575
Cl19 0.5954 0.6969 0.5425
Cl20 0.5976 0.6864 0.7133
Cl21 0.5993 0.6973 0.3717
Cl22 0.6141 0.6935 0.8777
Cl23 0.6215 0.6962 0.0405
Cl24 0.6302 0.7131 0.2024
Cl25 0.6864 0.0888 0.2867
Cl26 0.6935 0.0794 0.1223
Cl27 0.6962 0.0747 0.9595
Cl28 0.6973 0.0980 0.6283
Cl29 0.6969 0.1015 0.4575
Cl30 0.7131 0.0829 0.7976
Cl31 0.8985 0.5954 0.4575
Cl32 0.9020 0.5993 0.6283
Cl33 0.9112 0.5976 0.2867
Cl34 0.9171 0.6302 0.7976
Cl35 0.9206 0.6141 0.1223
Cl36 0.9253 0.6215 0.9595
```

---

This entry pairs a crystal structure of NaCd2Si3O9 with its calculated powder diffractogram. Radiation: Cu Kα (λ = 1.5418 Å). Structure: the GGA-PBE geometry in the Materials Project.

Top 6 peaks for 2θ = 10–80°, most intense first:
d = 2.915 Å, I 1000; d = 2.897 Å, I 955; d = 7.736 Å, I 788; d = 7.031 Å, I 787; d = 3.095 Å, I 754; d = 3.317 Å, I 694

Atomic structure:
```
data_NaCd2Si3O9
_cell_length_a 7.0340
_cell_length_b 7.0609
_cell_length_c 7.9530
_cell_angle_alpha 95.05
_cell_angle_beta 102.35
_cell_angle_gamma 90.49
_space_group_name_H-M_alt 'P 1'
_space_group_IT_number 1
_space_group_name_Hall 'P 1'
loop_
_atom_site_label
_atom_site_fract_x
_atom_site_fract_y
_atom_site_fract_z
Na1 0.2373 0.1486 0.4336
Na2 0.7627 0.8514 0.5664
Cd1 0.0892 0.6483 0.8541
Cd2 0.4144 0.3662 0.1513
Cd3 0.5856 0.6338 0.8487
Cd4 0.9108 0.3517 0.1459
Si1 0.0950 0.1609 0.7829
Si2 0.2348 0.6474 0.4520
Si3 0.4526 0.8474 0.2127
Si4 0.5474 0.1526 0.7873
Si5 0.7652 0.3526 0.5480
Si6 0.9050 0.8391 0.2171
O1 0.0036 0.9538 0.8103
O2 0.0340 0.7740 0.4033
O3 0.1104 0.3316 0.9365
O4 0.2072 0.4463 0.3305
O5 0.2888 0.6250 0.6577
O6 0.3088 0.1160 0.7371
O7 0.3512 0.0504 0.1760
O8 0.3925 0.6782 0.0556
O9 0.4071 0.7804 0.3961
O10 0.5929 0.2196 0.6039
O11 0.6075 0.3218 0.9444
O12 0.6488 0.9496 0.8240
O13 0.6912 0.8840 0.2629
O14 0.7112 0.3750 0.3423
O15 0.7928 0.5537 0.6695
O16 0.8896 0.6684 0.0635
O17 0.9660 0.2260 0.5967
O18 0.9964 0.0462 0.1897
```

---

This entry pairs a crystal structure of K2TiSi3O9 with its calculated powder diffractogram. Radiation: Cu Kα (λ = 1.5418 Å). Structure: the GGA-PBE geometry in the Materials Project.

Top 6 peaks for 2θ = 10–80°, most intense first:
d = 3.043 Å, I 1000; d = 5.714 Å, I 895; d = 3.567 Å, I 695; d = 5.084 Å, I 619; d = 2.857 Å, I 562; d = 3.250 Å, I 438

Atomic structure:
```
data_K2TiSi3O9
_cell_length_a 7.7158
_cell_length_b 7.7158
_cell_length_c 7.7158
_cell_angle_alpha 82.44
_cell_angle_beta 82.44
_cell_angle_gamma 82.44
_space_group_name_H-M_alt 'P 1'
_space_group_IT_number 1
_space_group_name_Hall 'P 1'
loop_
_atom_site_label
_atom_site_fract_x
_atom_site_fract_y
_atom_site_fract_z
K1 0.0000 0.0000 0.0000
K2 0.2731 0.4984 0.7317
K3 0.4984 0.7317 0.2731
K4 0.7317 0.2731 0.4984
Ti1 0.2443 0.2443 0.2443
Ti2 0.7259 0.7259 0.7259
Si1 0.0135 0.6015 0.3941
Si2 0.0525 0.9398 0.5187
Si3 0.3941 0.0135 0.6015
Si4 0.5187 0.0526 0.9398
Si5 0.6015 0.3941 0.0135
Si6 0.9398 0.5187 0.0525
O1 0.0600 0.0911 0.3514
O2 0.0911 0.3514 0.0600
O3 0.1323 0.7473 0.4459
O4 0.1351 0.4141 0.4078
O5 0.1875 0.9705 0.6607
O6 0.3514 0.0600 0.0911
O7 0.4078 0.1351 0.4141
O8 0.4141 0.4078 0.1351
O9 0.4459 0.1323 0.7473
O10 0.5210 0.8274 0.6035
O11 0.6035 0.5210 0.8274
O12 0.6246 0.8579 0.9299
O13 0.6607 0.1875 0.9705
O14 0.7473 0.4459 0.1323
O15 0.8274 0.6035 0.5210
O16 0.8579 0.9299 0.6246
O17 0.9299 0.6246 0.8579
O18 0.9705 0.6607 0.1875
```

---

This entry pairs a crystal structure of Ni with its calculated powder diffractogram. Radiation: Cu Kα (λ = 1.5418 Å). Structure: the GGA-PBE geometry in the Materials Project.

Top 3 peaks for 2θ = 10–80°, most intense first:
d = 2.077 Å, I 1000; d = 1.553 Å, I 740; d = 2.338 Å, I 481

Atomic structure:
```
data_Ni
_cell_length_a 2.3981
_cell_length_b 2.3981
_cell_length_c 2.3382
_cell_angle_alpha 90.00
_cell_angle_beta 90.00
_cell_angle_gamma 120.00
_space_group_name_H-M_alt 'P 1'
_space_group_IT_number 1
_space_group_name_Hall 'P 1'
loop_
_atom_site_label
_atom_site_fract_x
_atom_site_fract_y
_atom_site_fract_z
Ni1 0.0000 0.0000 0.0000
```

---

This entry pairs a crystal structure of ScVRu2 with its calculated powder diffractogram. Radiation: Cu Kα (λ = 1.5418 Å). Structure: the GGA-PBE geometry in the Materials Project.

Top 6 peaks for 2θ = 10–80°, most intense first:
d = 2.194 Å, I 1000; d = 1.267 Å, I 313; d = 3.102 Å, I 181; d = 1.551 Å, I 160; d = 1.387 Å, I 69; d = 1.791 Å, I 52

Atomic structure:
```
data_ScVRu2
_cell_length_a 4.3873
_cell_length_b 4.3873
_cell_length_c 4.3873
_cell_angle_alpha 60.00
_cell_angle_beta 60.00
_cell_angle_gamma 60.00
_space_group_name_H-M_alt 'P 1'
_space_group_IT_number 1
_space_group_name_Hall 'P 1'
loop_
_atom_site_label
_atom_site_fract_x
_atom_site_fract_y
_atom_site_fract_z
Sc1 0.0000 0.0000 0.0000
V1 0.5000 0.5000 0.5000
Ru1 0.2500 0.2500 0.2500
Ru2 0.7500 0.7500 0.7500
```